For Ca3Hf3AgF20, DFT lattice parameters and positions (GGA-PBE) gives the calculated XRD peak list in this record (Cu Ka).
Intensities are scaled so that the largest is 1000.

Cell and atoms:
Lattice parameters (Å, degrees): 10.705 10.705 8.496 90.00 90.00 120.00
Atoms (fractional coordinates):
Ca: 0.164 0.433 0.250
Ca: 0.270 0.836 0.250
Ca: 0.433 0.270 0.750
Ca: 0.567 0.730 0.250
Ca: 0.730 0.164 0.750
Ca: 0.836 0.567 0.750
Hf: 0.139 0.417 0.750
Hf: 0.278 0.861 0.750
Hf: 0.417 0.278 0.250
Hf: 0.583 0.722 0.750
Hf: 0.722 0.139 0.250
Hf: 0.861 0.583 0.250
Ag: 0.000 0.000 0.250
Ag: 0.000 0.000 0.750
F: 0.000 0.000 0.000
F: 0.000 0.000 0.500
F: 0.032 0.798 0.250
F: 0.057 0.586 0.250
F: 0.059 0.774 0.750
F: 0.145 0.426 0.515
F: 0.145 0.426 0.985
F: 0.185 0.634 0.750
F: 0.202 0.234 0.250
F: 0.226 0.285 0.750
F: 0.234 0.032 0.750
F: 0.281 0.855 0.515
F: 0.281 0.855 0.985
F: 0.285 0.059 0.250
F: 0.333 0.667 0.250
F: 0.366 0.552 0.750
F: 0.414 0.471 0.250
F: 0.426 0.281 0.015
F: 0.426 0.281 0.485
F: 0.448 0.815 0.750
F: 0.471 0.057 0.750
F: 0.529 0.943 0.250
F: 0.552 0.185 0.250
F: 0.574 0.719 0.515
F: 0.574 0.719 0.985
F: 0.586 0.529 0.750
F: 0.634 0.448 0.250
F: 0.667 0.333 0.750
F: 0.715 0.941 0.750
F: 0.719 0.145 0.015
F: 0.719 0.145 0.485
F: 0.766 0.968 0.250
F: 0.774 0.715 0.250
F: 0.798 0.766 0.750
F: 0.815 0.366 0.250
F: 0.855 0.574 0.015
F: 0.855 0.574 0.485
F: 0.941 0.226 0.250
F: 0.943 0.414 0.750
F: 0.968 0.202 0.750

Largest 10 diffraction maxima, low angle first, 2θ = 10–90°:
14.1°, d = 6.264 Å, I = 375
19.6°, d = 4.529 Å, I = 268
20.9°, d = 4.248 Å, I = 700
21.8°, d = 4.069 Å, I = 224
25.4°, d = 3.504 Å, I = 1000
33.1°, d = 2.704 Å, I = 456
44.8°, d = 2.023 Å, I = 355
49.9°, d = 1.826 Å, I = 286
50.2°, d = 1.816 Å, I = 298
63.5°, d = 1.465 Å, I = 226

***

For CaHoAgF6, DFT lattice parameters and positions (GGA-PBE) gives the calculated XRD peak list in this record (Cu Ka).
Intensities are scaled so that the largest is 1000.

Cell and atoms:
Lattice parameters (Å, degrees): 5.343 5.343 10.849 90.00 90.00 90.00
Atoms (fractional coordinates):
Ca: 0.000 0.000 0.000
Ca: 0.500 0.500 0.500
Ho: 0.000 0.000 0.665
Ho: 0.500 0.500 0.165
Ag: 0.000 0.000 0.331
Ag: 0.500 0.500 0.831
F: 0.178 0.178 0.826
F: 0.202 0.202 0.522
F: 0.212 0.212 0.149
F: 0.288 0.712 0.649
F: 0.298 0.702 0.022
F: 0.322 0.678 0.326
F: 0.678 0.322 0.326
F: 0.702 0.298 0.022
F: 0.712 0.288 0.649
F: 0.788 0.788 0.149
F: 0.798 0.798 0.522
F: 0.822 0.822 0.826

Largest 10 diffraction maxima, low angle first, 2θ = 10–90°:
16.3°, d = 5.424 Å, I = 125
18.5°, d = 4.794 Å, I = 349
23.5°, d = 3.778 Å, I = 1000
29.8°, d = 2.995 Å, I = 782
33.5°, d = 2.672 Å, I = 183
45.5°, d = 1.994 Å, I = 722
48.2°, d = 1.889 Å, I = 192
54.3°, d = 1.690 Å, I = 150
56.4°, d = 1.631 Å, I = 170
57.7°, d = 1.598 Å, I = 232

***

What did the first record say?
For Ca3Hf3AgF20, DFT lattice parameters and positions (GGA-PBE) gives the calculated XRD peak list in this record (Cu Ka).
Intensities are scaled so that the largest is 1000.

Cell and atoms:
Lattice parameters (Å, degrees): 10.705 10.705 8.496 90.00 90.00 120.00
Atoms (fractional coordinates):
Ca: 0.164 0.433 0.250
Ca: 0.270 0.836 0.250
Ca: 0.433 0.270 0.750
Ca: 0.567 0.730 0.250
Ca: 0.730 0.164 0.750
Ca: 0.836 0.567 0.750
Hf: 0.139 0.417 0.750
Hf: 0.278 0.861 0.750
Hf: 0.417 0.278 0.250
Hf: 0.583 0.722 0.750
Hf: 0.722 0.139 0.250
Hf: 0.861 0.583 0.250
Ag: 0.000 0.000 0.250
Ag: 0.000 0.000 0.750
F: 0.000 0.000 0.000
F: 0.000 0.000 0.500
F: 0.032 0.798 0.250
F: 0.057 0.586 0.250
F: 0.059 0.774 0.750
F: 0.145 0.426 0.515
F: 0.145 0.426 0.985
F: 0.185 0.634 0.750
F: 0.202 0.234 0.250
F: 0.226 0.285 0.750
F: 0.234 0.032 0.750
F: 0.281 0.855 0.515
F: 0.281 0.855 0.985
F: 0.285 0.059 0.250
F: 0.333 0.667 0.250
F: 0.366 0.552 0.750
F: 0.414 0.471 0.250
F: 0.426 0.281 0.015
F: 0.426 0.281 0.485
F: 0.448 0.815 0.750
F: 0.471 0.057 0.750
F: 0.529 0.943 0.250
F: 0.552 0.185 0.250
F: 0.574 0.719 0.515
F: 0.574 0.719 0.985
F: 0.586 0.529 0.750
F: 0.634 0.448 0.250
F: 0.667 0.333 0.750
F: 0.715 0.941 0.750
F: 0.719 0.145 0.015
F: 0.719 0.145 0.485
F: 0.766 0.968 0.250
F: 0.774 0.715 0.250
F: 0.798 0.766 0.750
F: 0.815 0.366 0.250
F: 0.855 0.574 0.015
F: 0.855 0.574 0.485
F: 0.941 0.226 0.250
F: 0.943 0.414 0.750
F: 0.968 0.202 0.750

Largest 10 diffraction maxima, low angle first, 2θ = 10–90°:
14.1°, d = 6.264 Å, I = 375
19.6°, d = 4.529 Å, I = 268
20.9°, d = 4.248 Å, I = 700
21.8°, d = 4.069 Å, I = 224
25.4°, d = 3.504 Å, I = 1000
33.1°, d = 2.704 Å, I = 456
44.8°, d = 2.023 Å, I = 355
49.9°, d = 1.826 Å, I = 286
50.2°, d = 1.816 Å, I = 298
63.5°, d = 1.465 Å, I = 226